[1]
Simulated X-ray diffraction stick pattern
Compound: CeSbS2N
Radiation: a wavelength of 1.5418 Å
Structure: a GGA-PBE-relaxed structure
Intensities are scaled so that the largest is 100.

Principal peaks in the range 2θ from 10° to 90°, in order of rising 2θ:
2theta  Rel. int.
25.51  32.9
26.06  100.0
29.79  28.7
32.29  84.5
34.39  17.9
39.62  29.7
41.59  44.8
46.31  35.2
53.91  28.5
56.86  24.8

Structure:
Unit cell a=3.921 b=3.921 c=13.965 alpha=90.00 beta=90.00 gamma=90.00
Sites, in units of the cell vectors:
1 Ce 0.250 0.250 0.084
2 Ce 0.750 0.750 0.916
3 Sb 0.250 0.250 0.636
4 Sb 0.750 0.750 0.364
5 S 0.250 0.250 0.385
6 S 0.250 0.250 0.810
7 S 0.750 0.750 0.190
8 S 0.750 0.750 0.615
9 N 0.250 0.750 0.000
10 N 0.750 0.250 0.000


[2]
Simulated X-ray diffraction stick pattern
Compound: Ce4Sb3N
Radiation: a wavelength of 1.5418 Å
Structure: a GGA-PBE-relaxed structure
Intensities are scaled so that the largest is 100.

Principal peaks in the range 2θ from 10° to 90°, in order of rising 2θ:
2theta  Rel. int.
26.16  14.4
28.18  100.0
29.47  48.3
38.82  20.5
40.28  31.9
41.23  64.4
50.69  29.2
64.95  11.3
68.66  10.3
73.86  12.0

Structure:
Unit cell a=12.124 b=6.333 c=6.334 alpha=90.00 beta=90.00 gamma=90.00
Sites, in units of the cell vectors:
1 Ce 0.000 0.165 0.000
2 Ce 0.000 0.747 0.410
3 Ce 0.228 0.754 0.997
4 Ce 0.272 0.246 0.497
5 Ce 0.500 0.253 0.910
6 Ce 0.500 0.835 0.500
7 Ce 0.728 0.246 0.497
8 Ce 0.772 0.754 0.997
9 Sb 0.000 0.244 0.499
10 Sb 0.250 0.256 0.998
11 Sb 0.250 0.744 0.498
12 Sb 0.500 0.756 0.999
13 Sb 0.750 0.256 0.998
14 Sb 0.750 0.744 0.498
15 N 0.000 0.827 0.073
16 N 0.500 0.173 0.573


[3]
Simulated X-ray diffraction stick pattern
Compound: Ce6Sb3N
Radiation: a wavelength of 1.5418 Å
Structure: a GGA-PBE-relaxed structure
Intensities are scaled so that the largest is 100.

Principal peaks in the range 2θ from 10° to 90°, in order of rising 2θ:
2theta  Rel. int.
27.10  44.2
27.32  42.0
29.04  26.5
30.42  23.9
30.88  100.0
31.57  83.8
33.80  41.6
34.99  36.9
35.52  48.2
36.56  30.8

Structure:
Unit cell a=6.285 b=8.282 c=12.301 alpha=90.00 beta=120.42 gamma=90.00
Sites, in units of the cell vectors:
1 Ce 0.051 0.220 0.452
2 Ce 0.051 0.280 0.952
3 Ce 0.291 0.652 0.457
4 Ce 0.291 0.848 0.957
5 Ce 0.343 0.035 0.222
6 Ce 0.343 0.465 0.722
7 Ce 0.657 0.535 0.278
8 Ce 0.657 0.965 0.778
9 Ce 0.709 0.152 0.043
10 Ce 0.709 0.348 0.543
11 Ce 0.949 0.720 0.048
12 Ce 0.949 0.780 0.548
13 Sb 0.155 0.111 0.744
14 Sb 0.155 0.389 0.244
15 Sb 0.500 0.000 0.500
16 Sb 0.500 0.500 0.000
17 Sb 0.845 0.611 0.756
18 Sb 0.845 0.889 0.256
19 N 0.000 0.000 0.000
20 N 0.000 0.500 0.500


Please write out number 1 again, unchanged.
Simulated X-ray diffraction stick pattern
Compound: CeSbS2N
Radiation: a wavelength of 1.5418 Å
Structure: a GGA-PBE-relaxed structure
Intensities are scaled so that the largest is 100.

Principal peaks in the range 2θ from 10° to 90°, in order of rising 2θ:
2theta  Rel. int.
25.51  32.9
26.06  100.0
29.79  28.7
32.29  84.5
34.39  17.9
39.62  29.7
41.59  44.8
46.31  35.2
53.91  28.5
56.86  24.8

Structure:
Unit cell a=3.921 b=3.921 c=13.965 alpha=90.00 beta=90.00 gamma=90.00
Sites, in units of the cell vectors:
1 Ce 0.250 0.250 0.084
2 Ce 0.750 0.750 0.916
3 Sb 0.250 0.250 0.636
4 Sb 0.750 0.750 0.364
5 S 0.250 0.250 0.385
6 S 0.250 0.250 0.810
7 S 0.750 0.750 0.190
8 S 0.750 0.750 0.615
9 N 0.250 0.750 0.000
10 N 0.750 0.250 0.000


Repeat the second record exactly.
Simulated X-ray diffraction stick pattern
Compound: Ce4Sb3N
Radiation: a wavelength of 1.5418 Å
Structure: a GGA-PBE-relaxed structure
Intensities are scaled so that the largest is 100.

Principal peaks in the range 2θ from 10° to 90°, in order of rising 2θ:
2theta  Rel. int.
26.16  14.4
28.18  100.0
29.47  48.3
38.82  20.5
40.28  31.9
41.23  64.4
50.69  29.2
64.95  11.3
68.66  10.3
73.86  12.0

Structure:
Unit cell a=12.124 b=6.333 c=6.334 alpha=90.00 beta=90.00 gamma=90.00
Sites, in units of the cell vectors:
1 Ce 0.000 0.165 0.000
2 Ce 0.000 0.747 0.410
3 Ce 0.228 0.754 0.997
4 Ce 0.272 0.246 0.497
5 Ce 0.500 0.253 0.910
6 Ce 0.500 0.835 0.500
7 Ce 0.728 0.246 0.497
8 Ce 0.772 0.754 0.997
9 Sb 0.000 0.244 0.499
10 Sb 0.250 0.256 0.998
11 Sb 0.250 0.744 0.498
12 Sb 0.500 0.756 0.999
13 Sb 0.750 0.256 0.998
14 Sb 0.750 0.744 0.498
15 N 0.000 0.827 0.073
16 N 0.500 0.173 0.573


Copy entry 1 word for word.
Simulated X-ray diffraction stick pattern
Compound: CeSbS2N
Radiation: a wavelength of 1.5418 Å
Structure: a GGA-PBE-relaxed structure
Intensities are scaled so that the largest is 100.

Principal peaks in the range 2θ from 10° to 90°, in order of rising 2θ:
2theta  Rel. int.
25.51  32.9
26.06  100.0
29.79  28.7
32.29  84.5
34.39  17.9
39.62  29.7
41.59  44.8
46.31  35.2
53.91  28.5
56.86  24.8

Structure:
Unit cell a=3.921 b=3.921 c=13.965 alpha=90.00 beta=90.00 gamma=90.00
Sites, in units of the cell vectors:
1 Ce 0.250 0.250 0.084
2 Ce 0.750 0.750 0.916
3 Sb 0.250 0.250 0.636
4 Sb 0.750 0.750 0.364
5 S 0.250 0.250 0.385
6 S 0.250 0.250 0.810
7 S 0.750 0.750 0.190
8 S 0.750 0.750 0.615
9 N 0.250 0.750 0.000
10 N 0.750 0.250 0.000


What did the first record say?
Simulated X-ray diffraction stick pattern
Compound: CeSbS2N
Radiation: a wavelength of 1.5418 Å
Structure: a GGA-PBE-relaxed structure
Intensities are scaled so that the largest is 100.

Principal peaks in the range 2θ from 10° to 90°, in order of rising 2θ:
2theta  Rel. int.
25.51  32.9
26.06  100.0
29.79  28.7
32.29  84.5
34.39  17.9
39.62  29.7
41.59  44.8
46.31  35.2
53.91  28.5
56.86  24.8

Structure:
Unit cell a=3.921 b=3.921 c=13.965 alpha=90.00 beta=90.00 gamma=90.00
Sites, in units of the cell vectors:
1 Ce 0.250 0.250 0.084
2 Ce 0.750 0.750 0.916
3 Sb 0.250 0.250 0.636
4 Sb 0.750 0.750 0.364
5 S 0.250 0.250 0.385
6 S 0.250 0.250 0.810
7 S 0.750 0.750 0.190
8 S 0.750 0.750 0.615
9 N 0.250 0.750 0.000
10 N 0.750 0.250 0.000